For HfPbBrCl6, a structure optimized by DFT (PBE) gives the computed PXRD pattern in this record (Cu Ka).

Principal peaks in the range 2θ from 10° to 90°, in order of rising 2θ:
2θ (°), intensity
10.64, 100.0
17.89, 96.7
24.97, 35.1
27.21, 37.5
33.10, 74.6
43.95, 33.8

Atomic structure:
Unit cell a=7.1319 b=7.1319 c=8.3117 alpha=90.00 beta=90.00 gamma=120.00
Fractional positions:
Hf 0.0000 0.0000 0.0000
Pb 0.6667 0.3333 0.0000
Br 0.3333 0.6667 0.5000
Cl 0.2866 0.0108 0.1732
Cl 0.2866 0.2758 0.8268
Cl 0.7242 0.0108 0.8268
Cl 0.7242 0.7134 0.1732
Cl 0.9892 0.2758 0.1732
Cl 0.9892 0.7134 0.8268

---

For Ce4Ag3Bi8, a structure optimized by DFT (PBE) gives the computed PXRD pattern in this record (Cu Ka).

Principal peaks in the range 2θ from 10° to 90°, in order of rising 2θ:
2θ (°), intensity
26.36, 14.4
28.80, 19.8
32.69, 100.0
39.14, 40.1
56.55, 13.9
66.87, 25.8

Atomic structure:
Unit cell a=4.6033 b=4.6033 c=20.2895 alpha=90.00 beta=90.00 gamma=90.00
Fractional positions:
Ce 0.0000 0.5000 0.1165
Ce 0.0000 0.5000 0.6285
Ce 0.5000 0.0000 0.3715
Ce 0.5000 0.0000 0.8835
Ag 0.0000 0.0000 0.0000
Ag 0.0000 0.0000 0.5000
Ag 0.5000 0.5000 0.5000
Bi 0.0000 0.0000 0.2440
Bi 0.0000 0.0000 0.7560
Bi 0.0000 0.5000 0.4037
Bi 0.0000 0.5000 0.9154
Bi 0.5000 0.0000 0.0846
Bi 0.5000 0.0000 0.5963
Bi 0.5000 0.5000 0.2446
Bi 0.5000 0.5000 0.7554

---

For La5SnPb2, a structure optimized by DFT (PBE) gives the computed PXRD pattern in this record (Cu Ka).

Principal peaks in the range 2θ from 10° to 90°, in order of rising 2θ:
2θ (°), intensity
29.08, 12.1
29.75, 100.0
32.61, 59.2
37.96, 17.1
47.24, 12.5
60.68, 15.5

Atomic structure:
Unit cell a=9.3903 b=9.3903 c=9.3903 alpha=124.93 beta=124.93 gamma=81.65
Fractional positions:
La 0.0000 0.0000 0.0000
La 0.0124 0.5124 0.8338
La 0.1786 0.0124 0.5000
La 0.3214 0.8214 0.8338
La 0.4876 0.3214 0.5000
La 0.5000 0.5000 0.0000
La 0.5124 0.6786 0.5000
La 0.6786 0.1786 0.1662
La 0.8214 0.9876 0.5000
La 0.9876 0.4876 0.1662
Sn 0.2500 0.2500 0.0000
Sn 0.7500 0.7500 0.0000
Pb 0.1338 0.3661 0.5000
Pb 0.3661 0.8662 0.2323
Pb 0.6338 0.1338 0.7677
Pb 0.8662 0.6338 0.5000